No. 1
Calculated powder X-ray diffraction pattern of MgWOF4 for Cu Ka, from a DFT-relaxed cell (PBE+U, the Materials Project).

```
MgWOF4
1.0
10.4075 0.0000 0.0000
0.0000 3.8980 0.0000
-5.1878 0.0000 5.2068
Mg W O F
2 2 2 8
Cartesian
0.0000 0.0000 0.0000
5.2038 1.9490 0.0000
-2.5939 2.9124 2.6034
2.6099 0.9634 2.6034
-2.5939 0.9622 2.6034
2.6099 2.9112 2.6034
-0.9460 2.9050 1.3089
1.3156 0.9781 0.9550
-1.2996 2.9271 4.2518
0.9620 0.9560 3.8979
4.2578 0.9560 1.3089
6.5194 2.9271 0.9550
3.9041 0.9781 4.2518
6.1657 2.9050 3.8979
```

Main lines, low angle first (5 to 70 degrees two-theta):
- (0 0 1), 17.03°, I 83
- (2 0 0), 24.18°, I 77
- (1 1 -1), 25.86°, I 100
- (1 1 1), 35.70°, I 36
- (5 1 -3), 50.46°, I 22
- (4 2 -3), 62.11°, I 25

***

No. 2
Calculated powder X-ray diffraction pattern of MgVSF5 for Cu Ka, from a DFT-relaxed cell (PBE+U, the Materials Project).

```
MgVSF5
1.0
5.6133 0.0000 0.0000
-1.0953 6.2124 0.0000
-1.5810 -2.3058 6.9235
Mg V S F
2 2 2 10
Cartesian
0.0000 0.0000 0.0000
-0.6670 4.0015 3.7639
-0.9678 0.4010 5.2744
1.8230 4.3769 1.7844
2.2636 2.8189 0.0692
2.3166 1.0193 4.6464
-0.3685 -0.1233 3.6047
-0.4096 -1.6233 5.4487
-0.6481 2.2329 4.8578
0.3182 5.3559 0.9630
0.4978 3.1468 2.4620
2.2170 -0.9942 3.7356
3.0034 5.7745 1.0995
2.3345 2.6217 5.4061
3.2956 3.6163 2.7719
3.5919 -0.3904 6.7438
```

Main lines, low angle first (5 to 70 degrees two-theta):
- (0 1 -1), 16.38°, I 100
- (1 0 -1), 18.06°, I 40
- (0 1 1), 22.69°, I 79
- (1 -1 1), 23.31°, I 47
- (1 0 1), 23.70°, I 45
- (2 -1 1), 37.50°, I 42

***

No. 3
Calculated powder X-ray diffraction pattern of MgVF4 for Cu Ka, from a DFT-relaxed cell (PBE+U, the Materials Project).

```
MgVF4
1.0
5.1357 0.0000 0.0000
-0.0953 5.5361 0.0000
-1.8252 -1.9844 5.1532
Mg V F
2 2 8
Cartesian
0.3321 0.0281 2.4891
2.8832 3.5235 2.6641
-0.0476 2.7680 0.0000
2.5679 0.0000 0.0000
-0.5390 3.9694 3.5567
-0.3617 1.2107 3.8263
1.0711 1.1828 1.0534
1.2641 4.1044 1.3240
1.9512 -0.5527 3.8292
2.1442 2.3689 4.0998
3.5769 2.3409 1.3269
3.7543 -0.4177 1.5965
```

Main lines, low angle first (5 to 70 degrees two-theta):
- (0 0 1), 17.19°, I 28
- (1 1 0), 26.94°, I 74
- (1 -1 1), 29.21°, I 100
- (1 1 -2), 32.72°, I 51
- (2 0 1), 46.64°, I 42
- (2 0 -3), 54.01°, I 34